This entry pairs a crystal structure of K3CdAu3 with its theoretical powder X-ray diffraction pattern. Radiation: λ = 1.5418 Å (Cu Kα). Structure: a PBE-relaxed structure.
Lines closer than 0.1° are merged.

Peak list (10 most intense, 2θ = 10–80°, sorted by position)
hkl 2 0 -1, 14.5 deg, I = 44; hkl 1 1 -1, 20.1 deg, I = 100; hkl 2 0 2, 22.9 deg, I = 27; hkl 1 1 3, 28.8 deg, I = 87; hkl 3 1 1, 32.4 deg, I = 34; hkl 4 0 1, 34.3 deg, I = 25; hkl 3 1 -5, 35.7 deg, I = 59; hkl 0 2 0, 37.4 deg, I = 40; hkl 5 1 0, 44.1 deg, I = 37; hkl 1 1 -7, 44.2 deg, I = 28

Structure:
```
data_K3CdAu3
_symmetry_space_group_name_H-M 'C 1 2/m 1'
_symmetry_Int_Tables_number 12
_symmetry_space_group_name_Hall '-C 2y'
_cell_length_a 12.2435
_cell_length_b 4.8059
_cell_length_c 16.1934
_cell_angle_alpha 90.00
_cell_angle_beta 111.91
_cell_angle_gamma 90.00
loop_
_atom_site_label
_atom_site_fract_x
_atom_site_fract_y
_atom_site_fract_z
K1 0.0208 0.0000 0.2708
K2 0.1407 0.5000 0.1249
K3 0.1790 0.0000 0.5754
Cd1 0.1716 0.5000 0.9130
Au1 0.0279 0.5000 0.4209
Au2 0.0835 0.0000 0.9602
Au3 0.1841 0.5000 0.7375
```



This entry pairs a crystal structure of K3CdAu4 with its theoretical powder X-ray diffraction pattern. Radiation: λ = 1.5418 Å (Cu Kα). Structure: a PBE-relaxed structure.
Lines closer than 0.1° are merged.

Peak list (10 most intense, 2θ = 10–80°, sorted by position)
hkl 0 0 1, 12.7 deg, I = 36; hkl 1 1 0, 15.4 deg, I = 67; hkl 2 0 -1, 17.8 deg, I = 100; hkl 2 0 -2, 22.1 deg, I = 20; hkl 1 1 -2, 23.9 deg, I = 18; hkl 3 1 -1, 29.7 deg, I = 34; hkl 2 2 -2, 31.2 deg, I = 50; hkl 1 3 0, 34.8 deg, I = 19; hkl 1 3 1, 39.5 deg, I = 81; hkl 2 0 2, 42.8 deg, I = 18

Structure:
```
data_K3CdAu4
_symmetry_space_group_name_H-M 'C 1 2 1'
_symmetry_Int_Tables_number 5
_symmetry_space_group_name_Hall 'C 2y'
_cell_length_a 9.9552
_cell_length_b 8.1437
_cell_length_c 8.5132
_cell_angle_alpha 90.00
_cell_angle_beta 125.17
_cell_angle_gamma 90.00
loop_
_atom_site_label
_atom_site_fract_x
_atom_site_fract_y
_atom_site_fract_z
K1 0.0000 0.0000 0.0000
K2 0.2367 0.4996 0.2844
Cd1 0.0000 0.5005 0.5000
Au1 0.1316 0.3249 0.8351
Au2 0.1318 0.6753 0.8356
```



This entry pairs a crystal structure of K3Cd2Au7 with its theoretical powder X-ray diffraction pattern. Radiation: λ = 1.5418 Å (Cu Kα). Structure: a PBE-relaxed structure.
Lines closer than 0.1° are merged.

Peak list (10 most intense, 2θ = 10–80°, sorted by position)
hkl 1 0 1, 17.6 deg, I = 100; hkl 0 0 6, 18.8 deg, I = 39; hkl 0 2 1, 35.2 deg, I = 39; hkl 2 0 2, 35.7 deg, I = 29; hkl 1 1 6, 35.9 deg, I = 94; hkl 0 0 12, 38.2 deg, I = 42; hkl 2 0 5, 38.6 deg, I = 79; hkl 0 2 7, 41.8 deg, I = 57; hkl 2 2 0, 62.9 deg, I = 33; hkl 2 2 12, 76.1 deg, I = 35

Structure:
```
data_K3Cd2Au7
_symmetry_space_group_name_H-M 'R -3 m'
_symmetry_Int_Tables_number 166
_symmetry_space_group_name_Hall '-R 3 2"'
_cell_length_a 5.9075
_cell_length_b 5.9075
_cell_length_c 28.2753
_cell_angle_alpha 90.00
_cell_angle_beta 90.00
_cell_angle_gamma 120.00
loop_
_atom_site_label
_atom_site_fract_x
_atom_site_fract_y
_atom_site_fract_z
K1 0.0000 0.0000 0.0000
K2 0.0000 0.0000 0.1427
Cd1 0.0000 0.0000 0.3320
Au1 0.0000 0.0000 0.5000
Au2 0.0012 0.5006 0.0821
```



This entry pairs a crystal structure of K4Cd5Au2 with its theoretical powder X-ray diffraction pattern. Radiation: λ = 1.5418 Å (Cu Kα). Structure: a PBE-relaxed structure.
Lines closer than 0.1° are merged.

Peak list (10 most intense, 2θ = 10–80°, sorted by position)
hkl 0 1 0, 15.9 deg, I = 100; hkl 1 1 -2, 27.7 deg, I = 18; hkl 2 1 0, 28.8 deg, I = 25; hkl 1 1 2, 29.8 deg, I = 38; hkl 0 2 0, 32.2 deg, I = 37; hkl 2 1 -2, 33.9 deg, I = 13; hkl 0 1 3, 35.1 deg, I = 16; hkl 3 1 -1, 39.9 deg, I = 11; hkl 0 0 4, 41.8 deg, I = 11; hkl 0 3 0, 49.1 deg, I = 12

Structure:
```
data_K4Cd5Au2
_symmetry_space_group_name_H-M 'P 1 2/m 1'
_symmetry_Int_Tables_number 10
_symmetry_space_group_name_Hall '-P 2y'
_cell_length_a 7.5280
_cell_length_b 5.5573
_cell_length_c 8.6983
_cell_angle_alpha 90.00
_cell_angle_beta 96.88
_cell_angle_gamma 90.00
loop_
_atom_site_label
_atom_site_fract_x
_atom_site_fract_y
_atom_site_fract_z
K1 0.2273 0.0000 0.3702
K2 0.2290 0.0000 0.9123
Cd1 0.1550 0.5000 0.6319
Cd2 0.4611 0.5000 0.1603
Cd3 0.5000 0.5000 0.5000
Au1 0.0880 0.5000 0.1504
```